Theoretical XRD peak list
Compound: Sr2Ga9Pt3
Radiation: Cu Kα (λ = 1.5418 Å)
Structure: a GGA-PBE-relaxed structure
Kinematic intensities with the Lorentz-polarization factor, no thermal factor.

Cell and atoms:
Cell: 7.809 7.809 10.749 Å, 111.44 111.44 59.78°
Element x y z (fractional)
Sr1 0.084 0.251 0.250
Sr2 0.251 0.084 0.750
Sr3 0.749 0.916 0.250
Sr4 0.916 0.749 0.750
Ga1 0.026 0.858 0.077
Ga2 0.142 0.974 0.423
Ga3 0.193 0.360 0.578
Ga4 0.216 0.581 0.251
Ga5 0.311 0.479 0.937
Ga6 0.360 0.193 0.078
Ga7 0.379 0.621 0.750
Ga8 0.419 0.784 0.249
Ga9 0.479 0.311 0.437
Ga10 0.521 0.689 0.563
Ga11 0.581 0.216 0.751
Ga12 0.621 0.379 0.250
Ga13 0.640 0.807 0.922
Ga14 0.689 0.521 0.063
Ga15 0.784 0.419 0.749
Ga16 0.807 0.640 0.422
Ga17 0.858 0.026 0.577
Ga18 0.974 0.142 0.923
Pt1 0.000 0.500 0.000
Pt2 0.164 0.669 0.500
Pt3 0.331 0.836 0.000
Pt4 0.500 0.000 0.500
Pt5 0.669 0.164 0.000
Pt6 0.836 0.331 0.500

Top 12 peaks for 2θ from 15° to 90°, in order of falling intensity:
2theta	I_rel
40.1	100.0
29.3	96.8
36.0	95.3
43.8	71.8
22.8	62.2
44.4	57.0
18.2	53.8
39.9	50.7
61.9	37.5
36.9	35.3
50.3	29.2
44.2	28.6